The following is a theoretical X-ray powder pattern of Be3Nb2Ni. It was derived from a PBE-relaxed structure, using copper Kα.
Intensities are scaled so that the largest is 100.

Main lines, low angle first (2θ from 15° to 90°):
| two_theta | d [Å] | I_rel |
| --- | --- | --- |
| 23.23 | 3.828 | 25 |
| 23.89 | 3.726 | 57 |
| 27.08 | 3.293 | 16 |
| 38.26 | 2.353 | 100 |
| 39.09 | 2.304 | 26 |
| 45.60 | 1.989 | 77 |
| 46.33 | 1.960 | 42 |
| 69.16 | 1.358 | 16 |
| 74.33 | 1.276 | 17 |
| 74.87 | 1.268 | 19 |

Atomic structure:
```
data_Be3Nb2Ni
_symmetry_space_group_name_H-M 'R -3 m'
_symmetry_Int_Tables_number 166
_symmetry_space_group_name_Hall '-R 3 2"'
_cell_length_a 4.7054
_cell_length_b 4.7054
_cell_length_c 11.1765
_cell_angle_alpha 90.00
_cell_angle_beta 90.00
_cell_angle_gamma 120.00
loop_
_atom_site_label
_atom_site_type_symbol
_atom_site_fract_x
_atom_site_fract_y
_atom_site_fract_z
_atom_site_occupancy
Be1 Be 0.0000 0.5000 0.0000 1
Nb1 Nb 0.0000 0.0000 0.1230 1
Ni1 Ni 0.0000 0.0000 0.5000 1
```